Structure and calculated PXRD pattern of BiAs2Os (a crystal structure in the Materials Project, relaxed with PBE; Cu Kα).
Kinematic intensities with the Lorentz-polarization factor, no thermal factor.

Structural model:
```
BiAs2Os
1.0
0.000 3.393 3.393
3.393 0.000 3.393
3.393 3.393 0.000
Bi As Os
1 2 1
Cartesian
0.000 0.000 0.000
1.696 1.696 1.696
3.393 3.393 3.393
5.089 5.089 5.089
```

Peak list (6 most intense, 2θ = 5–70°, by intensity)
2θ (°)	Rel. int.
37.49	100
67.64	36
22.70	22
54.06	18
44.27	12
59.37	5